The following is a calculated XRD peak list of V3O5F. It was derived from the GGA+U geometry in the Materials Project, using Cu Kα X-rays.
Intensities are scaled so that the largest is 100.

The 10 most intense peaks (2θ = 15–90°), low angle first:
| d_spacing | Rel. int. |
| --- | --- |
| 3.314 | 100 |
| 2.505 | 23 |
| 2.488 | 22 |
| 2.203 | 9 |
| 1.717 | 14 |
| 1.711 | 14 |
| 1.705 | 14 |
| 1.701 | 14 |
| 1.657 | 18 |
| 1.475 | 7 |

Cell and atoms:
Unit cell a=4.691 b=5.553 c=7.504 alpha=96.10 beta=90.27 gamma=90.29
Fractional coordinates of all 18 atoms:
V 0.000 0.000 0.000
V 0.001 0.645 0.641
V 0.010 0.335 0.306
V 0.461 0.175 0.659
V 0.490 0.809 0.309
V 0.495 0.493 0.977
O 0.172 0.699 0.871
O 0.194 0.362 0.549
O 0.198 0.018 0.213
O 0.281 0.187 0.879
O 0.296 0.528 0.215
O 0.312 0.869 0.544
O 0.690 0.444 0.734
O 0.693 0.803 0.095
O 0.791 0.286 0.073
O 0.801 0.635 0.424
F 0.696 0.129 0.417
F 0.787 0.960 0.749

The following is a calculated XRD peak list of Li5Ti4Co3O16. It was derived from the GGA+U geometry in the Materials Project, using Cu Kα X-rays.
Intensities are scaled so that the largest is 100.

The 10 most intense peaks (2θ = 15–90°), low angle first:
| d_spacing | Rel. int. |
| --- | --- |
| 3.756 | 32 |
| 2.965 | 90 |
| 2.956 | 36 |
| 2.544 | 100 |
| 2.534 | 54 |
| 2.515 | 56 |
| 2.508 | 29 |
| 2.107 | 28 |
| 1.484 | 46 |
| 1.480 | 45 |

Cell and atoms:
Unit cell a=8.316 b=8.424 c=8.435 alpha=90.44 beta=90.25 gamma=90.03
Fractional coordinates of all 56 atoms:
Li 0.000 0.000 0.000
Li 0.001 0.243 0.760
Li 0.264 0.497 0.254
Li 0.394 0.372 0.638
Li 0.396 0.872 0.131
Li 0.525 0.744 0.763
Li 0.759 0.760 0.997
Li 0.760 0.494 0.753
Li 0.768 0.246 0.514
Li 0.769 0.001 0.247
Ti 0.015 0.484 0.516
Ti 0.020 0.753 0.239
Ti 0.252 0.246 0.002
Ti 0.259 0.999 0.768
Ti 0.273 0.734 0.501
Ti 0.517 0.519 0.985
Ti 0.518 0.242 0.262
Ti 0.529 0.007 0.504
Co 0.137 0.119 0.379
Co 0.142 0.619 0.876
Co 0.638 0.123 0.881
Co 0.647 0.620 0.377
Co 0.885 0.376 0.135
Co 0.893 0.872 0.630
O 0.009 0.509 0.267
O 0.015 0.500 0.737
O 0.017 0.980 0.259
O 0.021 0.740 0.021
O 0.022 0.263 0.500
O 0.023 0.738 0.497
O 0.026 0.257 0.017
O 0.028 0.994 0.748
O 0.245 0.742 0.277
O 0.247 0.515 0.503
O 0.256 0.227 0.777
O 0.260 0.014 0.989
O 0.260 0.758 0.740
O 0.274 0.485 0.002
O 0.276 0.986 0.515
O 0.278 0.244 0.244
O 0.500 0.999 0.741
O 0.501 0.254 0.021
O 0.506 0.755 0.495
O 0.520 0.231 0.489
O 0.521 0.487 0.258
O 0.521 0.729 0.004
O 0.523 0.018 0.276
O 0.524 0.504 0.775
O 0.755 0.251 0.250
O 0.755 0.993 0.512
O 0.757 0.003 0.001
O 0.758 0.241 0.761
O 0.760 0.491 0.011
O 0.776 0.503 0.502
O 0.776 0.743 0.263
O 0.777 0.754 0.751

The following is a calculated XRD peak list of TbTlW2O8. It was derived from the GGA+U geometry in the Materials Project, using Cu Kα X-rays.
Intensities are scaled so that the largest is 100.

The 10 most intense peaks (2θ = 15–90°), low angle first:
| d_spacing | Rel. int. |
| --- | --- |
| 3.292 | 100 |
| 3.276 | 32 |
| 3.201 | 22 |
| 3.066 | 100 |
| 2.861 | 42 |
| 2.722 | 23 |
| 2.696 | 22 |
| 1.952 | 21 |
| 1.695 | 21 |
| 1.655 | 20 |

Cell and atoms:
Unit cell a=7.651 b=7.651 c=7.498 alpha=117.57 beta=117.57 gamma=88.56
Fractional coordinates of all 24 atoms:
Tb 0.224 0.776 0.750
Tb 0.776 0.224 0.250
Tl 0.206 0.794 0.250
Tl 0.794 0.206 0.750
W 0.300 0.310 0.781
W 0.310 0.300 0.281
W 0.690 0.700 0.719
W 0.700 0.690 0.219
O 0.045 0.216 0.190
O 0.063 0.376 0.625
O 0.216 0.045 0.690
O 0.246 0.380 0.059
O 0.370 0.589 0.532
O 0.376 0.063 0.125
O 0.380 0.246 0.559
O 0.411 0.630 0.968
O 0.589 0.370 0.032
O 0.620 0.754 0.441
O 0.624 0.937 0.875
O 0.630 0.411 0.468
O 0.754 0.620 0.941
O 0.784 0.955 0.310
O 0.937 0.624 0.375
O 0.955 0.784 0.810